(1)
The following is a computed PXRD pattern of Ce2CuAs4. It was derived from a cell relaxed with GGA-PBE, using a wavelength of 1.5418 Å.

Peak list (10 most intense, 10 to 90 degrees two-theta, in order of rising 2θ)
2θ 24.1, d = 3.697 Å, I = 29.1
2θ 29.4, d = 3.040 Å, I = 14.5
2θ 32.9, d = 2.725 Å, I = 15.7
2θ 36.7, d = 2.450 Å, I = 39.0
2θ 37.0, d = 2.428 Å, I = 100.0
2θ 45.0, d = 2.016 Å, I = 41.5
2θ 54.6, d = 1.682 Å, I = 25.5
2θ 59.4, d = 1.557 Å, I = 19.1
2θ 73.3, d = 1.292 Å, I = 18.0
2θ 77.7, d = 1.229 Å, I = 22.3

Atomic structure:
Cell: 4.032 4.032 9.256 Å, 90.00 90.00 90.00°
Space group P-4m2 (No. 115)
Inequivalent atoms, fractional coordinates:
Ce  0.000  0.500  0.246
Cu  0.500  0.500  0.000
As  0.000  0.000  0.500
As  0.000  0.500  0.852
As  0.500  0.500  0.500

---

(2)
The following is a computed PXRD pattern of TiP2S6. It was derived from a cell relaxed with GGA-PBE, using a wavelength of 1.5418 Å.

Peak list (10 most intense, 10 to 90 degrees two-theta, in order of rising 2θ)
2θ 14.0, d = 6.344 Å, I = 100.0
2θ 16.7, d = 5.321 Å, I = 13.6
2θ 17.6, d = 5.052 Å, I = 14.3
2θ 24.8, d = 3.585 Å, I = 8.8
2θ 26.8, d = 3.323 Å, I = 16.2
2θ 31.2, d = 2.870 Å, I = 14.1
2θ 33.5, d = 2.676 Å, I = 33.1
2θ 40.1, d = 2.246 Å, I = 7.1
2θ 41.1, d = 2.198 Å, I = 11.2
2θ 46.4, d = 1.957 Å, I = 13.9

Atomic structure:
Cell: 8.152 11.479 21.285 Å, 90.00 90.00 90.00°
Space group Fdd2 (No. 43)
Inequivalent atoms, fractional coordinates:
Ti  0.000  0.000  0.000
P  0.107  0.437  0.336
S  0.017  0.287  0.514
S  0.020  0.272  0.324
S  0.038  0.226  0.171